(1)
This entry pairs a crystal structure of Ca2AlBiO5 with its calculated PXRD pattern. Radiation: Cu Kα (weighted mean of Kα1 and Kα2). Structure: DFT lattice parameters and positions (PBE).
Intensities are scaled so that the largest is 100.

Top 10 peaks for 2θ from 10° to 80°, in order of falling intensity:
2θ/deg	I (rel.)	index
11.36	100	0 0 1
31.27	57	1 1 1
31.90	50	1 1 -3
21.52	47	1 -1 0
24.60	44	-1 1 1
31.64	34	2 0 -1
29.57	34	0 2 -1
24.20	33	1 1 0
43.85	30	2 -2 0
22.84	23	0 0 2

Crystal structure
a = 5.6576 Å, b = 6.0424 Å, c = 8.7533 Å
α = 110.16°, β = 107.42°, γ = 90.04°
Space group P1 (No. 1)
Inequivalent atoms, fractional coordinates:
Ca1 0.0000 0.0000 0.0000 [1 per cell]
Ca2 0.2235 0.3113 0.5276 [1 per cell]
Ca3 0.4726 0.5211 0.9988 [1 per cell]
Ca4 0.7175 0.7506 0.5274 [1 per cell]
Al1 0.3568 0.9586 0.7525 [1 per cell]
Al2 0.8560 0.3253 0.7536 [1 per cell]
Bi1 0.1141 0.6218 0.2305 [1 per cell]
Bi2 0.6286 0.1306 0.2294 [1 per cell]
O1 0.0017 0.5824 0.9402 [1 per cell]
O2 0.0333 0.0250 0.2736 [1 per cell]
O3 0.0483 0.0716 0.7343 [1 per cell]
O4 0.2964 0.3095 0.1237 [1 per cell]
O5 0.3431 0.7002 0.5731 [1 per cell]
O6 0.4799 0.8796 0.9383 [1 per cell]
O7 0.5238 0.7757 0.2723 [1 per cell]
O8 0.5444 0.1923 0.7286 [1 per cell]
O9 0.7863 0.3223 0.0968 [1 per cell]
O10 0.8430 0.4070 0.5742 [1 per cell]



(2)
This entry pairs a crystal structure of Ca2AlBiO5 with its calculated PXRD pattern. Radiation: Cu Kα (weighted mean of Kα1 and Kα2). Structure: DFT lattice parameters and positions (PBE).
Intensities are scaled so that the largest is 100.

Top 10 peaks for 2θ from 10° to 80°, in order of falling intensity:
2θ/deg	I (rel.)	index
11.36	100	0 0 1
31.88	73	1 1 3
31.31	57	-1 1 2
21.53	47	1 1 1
24.59	42	1 -1 1
31.56	34	2 0 1
24.23	34	1 1 0
29.69	33	0 2 1
43.88	30	2 2 2
22.84	23	0 0 2

Crystal structure
a = 5.6708 Å, b = 6.0183 Å, c = 8.7530 Å
α = 69.99°, β = 72.39°, γ = 89.99°
Space group P1 (No. 1)
Inequivalent atoms, fractional coordinates:
Ca1 0.0000 0.0000 0.0000 [1 per cell]
Ca2 0.2445 0.2256 0.4713 [1 per cell]
Ca3 0.4985 0.4795 0.9995 [1 per cell]
Ca4 0.7432 0.7850 0.4716 [1 per cell]
Al1 0.3836 0.8022 0.2444 [1 per cell]
Al2 0.8836 0.4347 0.2442 [1 per cell]
Bi1 0.1418 0.6104 0.7678 [1 per cell]
Bi2 0.6434 0.1004 0.7680 [1 per cell]
O1 0.0252 0.3601 0.0581 [1 per cell]
O2 0.0474 0.2523 0.7264 [1 per cell]
O3 0.0742 0.6705 0.2657 [1 per cell]
O4 0.3103 0.8145 0.8858 [1 per cell]
O5 0.3720 0.8846 0.4230 [1 per cell]
O6 0.5252 0.0620 0.0582 [1 per cell]
O7 0.5466 0.4996 0.7255 [1 per cell]
O8 0.5737 0.5452 0.2673 [1 per cell]
O9 0.8089 0.7771 0.8889 [1 per cell]
O10 0.8724 0.1749 0.4225 [1 per cell]



(3)
This entry pairs a crystal structure of SrCaAlBiO6 with its calculated PXRD pattern. Radiation: Cu Kα (weighted mean of Kα1 and Kα2). Structure: DFT lattice parameters and positions (PBE).
Intensities are scaled so that the largest is 100.

Top 10 peaks for 2θ from 10° to 80°, in order of falling intensity:
2θ/deg	I (rel.)	index
31.63	100	2 2 0
19.21	62	1 1 1
37.27	42	3 1 1
56.33	40	4 2 2
45.34	35	4 0 0
66.05	21	4 4 0
22.22	21	2 0 0
49.67	20	3 3 1
75.09	18	6 2 0
60.08	13	3 3 3

Crystal structure
a = 8.0014 Å, b = 8.0014 Å, c = 8.0014 Å
α = 90.00°, β = 90.00°, γ = 90.00°
Space group F-43m (No. 216)
Inequivalent atoms, fractional coordinates:
Sr1 0.0000 0.0000 0.0000 [4 per cell]
Ca1 0.0000 0.0000 0.5000 [4 per cell]
Al1 0.2500 0.2500 0.7500 [4 per cell]
Bi1 0.2500 0.2500 0.2500 [4 per cell]
O1 0.0113 0.2500 0.7500 [24 per cell]